Starting from DFT lattice parameters and positions (GGA-PBE), the XRD peak list of Ti12Al3Pt was calculated for a wavelength of 1.5418 Å.

Most intense lines, 2θ = 10–80°, low angle first:
| 2θ (°) | Rel. int. |
| --- | --- |
| 10.82 | 19 |
| 16.25 | 7 |
| 22.83 | 15 |
| 24.72 | 12 |
| 27.61 | 9 |
| 38.63 | 100 |
| 44.29 | 17 |
| 45.21 | 31 |
| 65.15 | 19 |
| 65.87 | 10 |
| 77.72 | 11 |
| 79.04 | 22 |

Cell and atoms:
```
16
Lattice="4.011 0.000 0.000 0.000 4.011 0.000 0.000 0.000 16.360" Properties=species:S:1:pos:R:3 pbc="T T T"
Ti 0.000 0.000 0.000
Ti 0.000 0.000 4.075
Ti 0.000 0.000 8.180
Ti 0.000 0.000 12.285
Ti 0.000 2.005 2.066
Ti 0.000 2.005 6.154
Ti 0.000 2.005 10.206
Ti 0.000 2.005 14.294
Ti 2.005 0.000 2.066
Ti 2.005 0.000 6.154
Ti 2.005 0.000 10.206
Ti 2.005 0.000 14.294
Al 2.005 2.005 4.081
Al 2.005 2.005 8.180
Al 2.005 2.005 12.279
Pt 2.005 2.005 0.000
```